Theoretical powder diffraction line list
Compound: Sr4BiP3O13
Radiation: Cu Ka
Structure: DFT lattice parameters and positions (GGA-PBE)
Lines closer than 0.1° are merged.

The 12 most intense peaks (5° ≤ 2θ ≤ 70°), most intense first:
- 2θ = 30.5°, I = 100, hkl 3 1 -1
- 2θ = 30.3°, I = 94, hkl 2 1 -3
- 2θ = 30.4°, I = 79, hkl 1 2 -2
- 2θ = 26.5°, I = 75, hkl 1 2 0
- 2θ = 30.1°, I = 66, hkl 1 1 -3
- 2θ = 24.3°, I = 51, hkl 0 2 0
- 2θ = 49.7°, I = 45, hkl 0 4 0
- 2θ = 31.6°, I = 43, hkl 3 0 0
- 2θ = 46.5°, I = 36, hkl 2 3 1
- 2θ = 20.6°, I = 35, hkl 0 0 2
- 2θ = 46.8°, I = 35, hkl 3 3 -1
- 2θ = 44.1°, I = 34, hkl 2 2 2

Crystal structure
a b c (Å): 9.7590 7.3317 9.8810
angles (deg): 90.00 119.41 90.00
Element x y z (fractional)
Sr 0.1638 0.0012 0.3255
Sr 0.1638 0.4988 0.3255
Sr 0.2550 0.7500 0.9849
Sr 0.2736 0.2500 0.7657
Sr 0.7264 0.7500 0.2343
Sr 0.7450 0.2500 0.0151
Sr 0.8362 0.5012 0.6745
Sr 0.8362 0.9988 0.6745
Bi 0.4933 0.7500 0.7597
Bi 0.5067 0.2500 0.2403
P 0.0949 0.2500 0.9646
P 0.1296 0.7500 0.5959
P 0.4751 0.7500 0.3634
P 0.5249 0.2500 0.6366
P 0.8704 0.2500 0.4041
P 0.9051 0.7500 0.0354
O 0.0250 0.7500 0.6730
O 0.0315 0.7500 0.4165
O 0.0885 0.7500 0.1164
O 0.1447 0.0771 0.9079
O 0.1447 0.4229 0.9079
O 0.1689 0.2500 0.1447
O 0.2429 0.5805 0.6498
O 0.2429 0.9195 0.6498
O 0.3470 0.2500 0.5158
O 0.3719 0.7500 0.4432
O 0.4311 0.5799 0.2539
O 0.4311 0.9201 0.2539
O 0.4991 0.7500 0.9710
O 0.5009 0.2500 0.0290
O 0.5689 0.0799 0.7461
O 0.5689 0.4201 0.7461
O 0.6281 0.2500 0.5568
O 0.6530 0.7500 0.4842
O 0.7571 0.0805 0.3502
O 0.7571 0.4195 0.3502
O 0.8311 0.7500 0.8553
O 0.8553 0.5771 0.0921
O 0.8553 0.9229 0.0921
O 0.9115 0.2500 0.8836
O 0.9685 0.2500 0.5835
O 0.9750 0.2500 0.3270